No. 1
Starting from a cell relaxed with PBE, the X-ray powder pattern of Tb2Cu2Pd was calculated for Cu Kα, 1.54184 Å.
Peak positions follow from Bragg's law for the DFT cell and can differ from measured ones.

Structural model:
Unit cell a=7.151 b=7.151 c=7.791 alpha=90.00 beta=90.00 gamma=90.00
Space group P4/mnc (No. 128)
Symmetry-distinct sites (fractional):
Tb 0.180 0.320 0.000 [8 per cell]
Cu 0.121 0.621 0.250 [8 per cell]
Pd 0.000 0.000 0.249 [4 per cell]

Top 12 peaks for 10° ≤ 2θ ≤ 90°, in order of rising 2θ:
- 27.90 deg, rel. 15, (2 1 0)
- 34.04 deg, rel. 61, (2 0 2)
- 35.51 deg, rel. 15, (2 2 0)
- 36.35 deg, rel. 100, (2 1 2)
- 39.87 deg, rel. 36, (3 1 0)
- 46.63 deg, rel. 20, (0 0 4)
- 52.79 deg, rel. 15, (4 1 0)
- 58.23 deg, rel. 19, (4 1 2)
- 59.79 deg, rel. 14, (3 3 2)
- 62.99 deg, rel. 18, (3 1 4)
- 71.50 deg, rel. 12, (5 1 2)
- 79.72 deg, rel. 12, (2 1 6)

No. 2
Starting from a cell relaxed with PBE, the X-ray powder pattern of Mg2In4Pb5 was calculated for Cu Kα, 1.54184 Å.
Peak positions follow from Bragg's law for the DFT cell and can differ from measured ones.

Structural model:
Unit cell a=8.960 b=19.419 c=3.576 alpha=90.00 beta=90.00 gamma=90.00
Space group Pbam (No. 55)
Symmetry-distinct sites (fractional):
Mg 0.016 0.193 0.000 [4 per cell]
In 0.080 0.648 0.000 [4 per cell]
In 0.220 0.927 0.000 [4 per cell]
Pb 0.000 0.500 0.500 [2 per cell]
Pb 0.125 0.066 0.500 [4 per cell]
Pb 0.228 0.280 0.500 [4 per cell]

Top 12 peaks for 10° ≤ 2θ ≤ 90°, in order of rising 2θ:
- 21.85 deg, rel. 23, (2 2 0)
- 24.95 deg, rel. 33, (0 0 1)
- 30.27 deg, rel. 34, (3 1 0)
- 30.46 deg, rel. 25, (2 5 0)
- 31.06 deg, rel. 40, (0 4 1)
- 31.33 deg, rel. 42, (3 2 0)
- 32.36 deg, rel. 30, (2 1 1)
- 32.67 deg, rel. 100, (1 4 1)
- 33.36 deg, rel. 77, (2 2 1)
- 33.83 deg, rel. 31, (1 7 0)
- 34.18 deg, rel. 29, (2 6 0)
- 54.76 deg, rel. 25, (1 10 1)

No. 3
Starting from a cell relaxed with PBE, the X-ray powder pattern of AlZn2Au2 was calculated for Cu Kα, 1.54184 Å.
Peak positions follow from Bragg's law for the DFT cell and can differ from measured ones.

Structural model:
Unit cell a=4.464 b=4.430 c=9.055 alpha=90.00 beta=90.01 gamma=90.00
Space group P2_1/m (No. 11)
Symmetry-distinct sites (fractional):
Al 0.249 0.250 0.317 [2 per cell]
Zn 0.250 0.250 0.688 [2 per cell]
Zn 0.250 0.250 0.999 [2 per cell]
Au 0.250 0.750 0.163 [2 per cell]
Au 0.250 0.750 0.520 [2 per cell]

Top 12 peaks for 10° ≤ 2θ ≤ 90°, in order of rising 2θ:
- 22.34 deg, rel. 28, (0 1 1)
- 28.07 deg, rel. 31, (1 0 2)
- 28.18 deg, rel. 18, (0 1 2)
- 28.38 deg, rel. 23, (1 1 0)
- 40.41 deg, rel. 29, (2 0 0)
- 40.73 deg, rel. 28, (0 2 0)
- 41.47 deg, rel. 100, (1 1 3)
- 50.20 deg, rel. 13, (1 2 2)
- 54.73 deg, rel. 14, (0 1 5)
- 58.72 deg, rel. 19, (2 2 0)
- 74.20 deg, rel. 18, (3 1 -3)
- 74.64 deg, rel. 18, (1 3 3)

No. 4
Starting from a cell relaxed with PBE, the X-ray powder pattern of MoBr4N2 was calculated for Cu Kα, 1.54184 Å.
Peak positions follow from Bragg's law for the DFT cell and can differ from measured ones.

Structural model:
Unit cell a=11.068 b=11.068 c=8.645 alpha=90.00 beta=90.00 gamma=90.00
Space group I4/mmm (No. 139)
Symmetry-distinct sites (fractional):
Mo 0.000 0.000 0.150 [4 per cell]
Br 0.000 0.216 0.211 [16 per cell]
N 0.226 0.226 0.500 [8 per cell]

Top 12 peaks for 10° ≤ 2θ ≤ 90°, in order of rising 2θ:
- 11.31 deg, rel. 100, (1 1 0)
- 12.99 deg, rel. 53, (1 0 1)
- 20.55 deg, rel. 38, (0 0 2)
- 22.72 deg, rel. 21, (2 2 0)
- 30.82 deg, rel. 44, (2 2 2)
- 32.10 deg, rel. 31, (1 0 3)
- 32.36 deg, rel. 44, (4 0 0)
- 38.64 deg, rel. 21, (4 0 2)
- 41.61 deg, rel. 22, (5 1 0)
- 46.22 deg, rel. 15, (4 1 3)
- 46.84 deg, rel. 14, (5 1 2)
- 52.10 deg, rel. 16, (5 0 3)

No. 5
Starting from a cell relaxed with PBE, the X-ray powder pattern of Rb2TlSiSe4 was calculated for Cu Kα, 1.54184 Å.
Peak positions follow from Bragg's law for the DFT cell and can differ from measured ones.

Structural model:
Unit cell a=12.622 b=12.396 c=9.290 alpha=90.00 beta=129.10 gamma=90.00
Space group C2/c (No. 15)
Symmetry-distinct sites (fractional):
Rb 0.000 0.000 0.000 [4 per cell]
Rb 0.250 0.250 0.000 [4 per cell]
Tl 0.000 0.500 0.000 [4 per cell]
Si 0.250 0.250 0.500 [4 per cell]
Se 0.086 0.254 0.546 [8 per cell]
Se 0.230 0.438 0.461 [8 per cell]

Top 12 peaks for 10° ≤ 2θ ≤ 90°, in order of rising 2θ:
- 11.51 deg, rel. 42, (1 1 0)
- 23.15 deg, rel. 24, (2 2 0)
- 23.58 deg, rel. 21, (1 3 -1)
- 24.70 deg, rel. 100, (0 0 2)
- 28.34 deg, rel. 49, (4 0 -2)
- 28.81 deg, rel. 47, (0 4 0)
- 30.72 deg, rel. 32, (3 3 -1)
- 31.87 deg, rel. 19, (4 2 -2)
- 38.31 deg, rel. 42, (0 4 2)
- 39.14 deg, rel. 32, (4 0 -4)
- 40.85 deg, rel. 18, (4 4 -2)
- 48.24 deg, rel. 19, (6 2 -4)

No. 6
Starting from a cell relaxed with PBE, the X-ray powder pattern of Ba2Ga5Ru2 was calculated for Cu Kα, 1.54184 Å.
Peak positions follow from Bragg's law for the DFT cell and can differ from measured ones.

Structural model:
Unit cell a=4.811 b=4.811 c=10.374 alpha=90.00 beta=90.00 gamma=90.00
Space group P4/mmm (No. 123)
Symmetry-distinct sites (fractional):
Ba 0.000 0.000 0.000 [1 per cell]
Ba 0.000 0.000 0.500 [1 per cell]
Ga 0.000 0.500 0.249 [4 per cell]
Ga 0.500 0.500 0.500 [1 per cell]
Ru 0.500 0.500 0.272 [2 per cell]

Top 12 peaks for 10° ≤ 2θ ≤ 90°, in order of rising 2θ:
- 25.25 deg, rel. 100, (1 0 2)
- 26.20 deg, rel. 19, (1 1 0)
- 31.45 deg, rel. 70, (1 1 2)
- 34.58 deg, rel. 47, (0 0 4)
- 37.38 deg, rel. 82, (2 0 0)
- 45.65 deg, rel. 40, (2 1 2)
- 51.84 deg, rel. 58, (2 0 4)
- 53.90 deg, rel. 28, (2 2 0)
- 60.02 deg, rel. 14, (1 1 6)
- 63.75 deg, rel. 18, (3 1 2)
- 65.64 deg, rel. 28, (2 2 4)
- 84.93 deg, rel. 22, (2 0 8)